Calculated XRD peak list
Compound: CdSeS
Radiation: copper Kα
Structure: a crystal structure in Alexandria, relaxed with PBE

Crystal structure
```
CdSeS
1.0
4.2525 0.0000 0.0000
2.0974 3.9022 0.0000
2.0143 0.8609 10.0574
Cd Se S
2 2 2
direct
0.0000 0.0000 0.0000
0.1735 0.2830 0.3683
0.2771 0.3415 0.1088
0.8102 0.9106 0.4677
0.5966 0.9788 0.8266
0.8315 0.6454 0.6876
```

Largest 10 diffraction maxima, in order of rising 2θ, 10° ≤ 2θ ≤ 90°:
| 2θ/deg | d (Å) | I (rel.) | (hkl) |
| --- | --- | --- | --- |
| 17.6 | 5.029 | 95.0 | 0 0 2 |
| 24.0 | 3.712 | 55.1 | 1 0 0 |
| 24.2 | 3.680 | 55.8 | 1 1 1 |
| 24.4 | 3.642 | 100.0 | 1 0 1 |
| 25.3 | 3.527 | 66.6 | 0 1 -1 |
| 26.6 | 3.352 | 67.5 | 0 0 3 |
| 27.8 | 3.211 | 91.4 | 0 1 2 |
| 40.5 | 2.225 | 85.1 | 1 -1 0 |
| 40.8 | 2.210 | 52.5 | 1 2 1 |
| 42.5 | 2.126 | 74.0 | 2 1 1 |